Entry 1:
This entry pairs a crystal structure of DyTm2Co2 with its computed powder XRD pattern. Radiation: a wavelength of 1.5418 Å. Structure: a GGA-PBE-relaxed structure.
No peak broadening, texture or thermal motion is included.

Top 10 peaks for 2θ from 15° to 90°, in order of rising 2θ:
2theta, I (rel.)
29.48, 43
29.85, 68
30.32, 56
33.22, 64
34.10, 100
34.51, 34
35.74, 47
38.06, 35
39.42, 33
40.66, 47

Structural model:
```
DyTm2Co2
1.0
5.4042 -2.8322 0.0000
5.4042 2.8322 0.0000
-1.4871 0.0000 7.0812
Dy Tm Co
2 4 4
direct
0.0954 0.9046 0.7500
0.9046 0.0954 0.2500
0.2207 0.4567 0.3479
0.4567 0.2207 0.8479
0.5433 0.7793 0.1521
0.7793 0.5433 0.6521
0.0254 0.3061 0.0129
0.3061 0.0254 0.5129
0.6939 0.9746 0.4871
0.9746 0.6939 0.9871
```

---

Entry 2:
This entry pairs a crystal structure of Rb2Na5Cd with its computed powder XRD pattern. Radiation: a wavelength of 1.5418 Å. Structure: a GGA-PBE-relaxed structure.
No peak broadening, texture or thermal motion is included.

Top 10 peaks for 2θ from 15° to 90°, in order of rising 2θ:
2theta, I (rel.)
20.23, 47
22.75, 37
23.50, 47
23.70, 33
27.28, 100
29.96, 41
31.40, 42
33.12, 40
45.27, 28
49.04, 29

Structural model:
```
Rb2Na5Cd
1.0
0.0000 5.9648 6.4854
4.8995 0.0000 6.4854
4.8995 5.9648 0.0000
Rb Na Cd
2 5 1
direct
0.0000 0.0000 0.5000
0.5000 0.5000 0.0000
0.0068 0.4794 0.5206
0.4007 0.4007 0.5993
0.4794 0.0068 0.9932
0.5368 0.9283 0.4632
0.9283 0.5368 0.0717
0.1227 0.1227 0.8773
```

---

Entry 3:
This entry pairs a crystal structure of Dy4C5 with its computed powder XRD pattern. Radiation: a wavelength of 1.5418 Å. Structure: a GGA-PBE-relaxed structure.
No peak broadening, texture or thermal motion is included.

Top 10 peaks for 2θ from 15° to 90°, in order of rising 2θ:
2theta, I (rel.)
28.10, 28
28.51, 100
30.99, 35
31.64, 53
32.85, 70
36.65, 35
37.44, 48
54.10, 38
57.80, 37
58.07, 25

Structural model:
```
Dy4C5
1.0
6.5871 0.0000 0.0000
0.0000 11.9798 0.0000
0.0000 0.0000 3.6731
Dy C
8 10
direct
0.1083 0.1952 0.0000
0.2444 0.9573 0.5000
0.2556 0.4573 0.5000
0.3917 0.6952 0.0000
0.6083 0.3048 0.0000
0.7444 0.5427 0.5000
0.7556 0.0427 0.5000
0.8917 0.8048 0.0000
0.0000 0.0000 0.0000
0.0972 0.6556 0.5000
0.1371 0.7646 0.5000
0.3629 0.2646 0.5000
0.4028 0.1556 0.5000
0.5000 0.5000 0.0000
0.5972 0.8444 0.5000
0.6371 0.7354 0.5000
0.8629 0.2354 0.5000
0.9028 0.3444 0.5000
```

---

Entry 4:
This entry pairs a crystal structure of Na3InHg7 with its computed powder XRD pattern. Radiation: a wavelength of 1.5418 Å. Structure: a GGA-PBE-relaxed structure.
No peak broadening, texture or thermal motion is included.

Top 10 peaks for 2θ from 15° to 90°, in order of rising 2θ:
2theta, I (rel.)
20.68, 88
27.36, 39
30.91, 89
33.65, 34
34.53, 100
37.10, 54
38.29, 73
40.98, 26
41.35, 47
57.61, 45

Structural model:
```
Na3InHg7
1.0
2.1838 -11.7631 0.0000
2.1838 11.7631 0.0000
0.0000 0.0000 11.7424
Na In Hg
6 2 14
direct
0.1353 0.8647 0.5736
0.1353 0.8647 0.9264
0.1726 0.8274 0.2500
0.8274 0.1726 0.7500
0.8647 0.1353 0.0736
0.8647 0.1353 0.4264
0.0276 0.9724 0.2500
0.9724 0.0276 0.7500
0.2699 0.7301 0.5867
0.2699 0.7301 0.9133
0.3100 0.6900 0.2500
0.4018 0.5982 0.6127
0.4018 0.5982 0.8873
0.4583 0.5417 0.1181
0.4583 0.5417 0.3819
0.5417 0.4583 0.6181
0.5417 0.4583 0.8819
0.5982 0.4018 0.1127
0.5982 0.4018 0.3873
0.6900 0.3100 0.7500
0.7301 0.2699 0.0867
0.7301 0.2699 0.4133
```

---

Entry 5:
This entry pairs a crystal structure of TePHF with its computed powder XRD pattern. Radiation: a wavelength of 1.5418 Å. Structure: a GGA-PBE-relaxed structure.
No peak broadening, texture or thermal motion is included.

Top 10 peaks for 2θ from 15° to 90°, in order of rising 2θ:
2theta, I (rel.)
16.72, 76
22.11, 100
24.49, 36
26.29, 56
29.44, 55
38.51, 20
38.98, 18
43.02, 19
45.25, 20
46.58, 21

Structural model:
```
TePHF
1.0
4.1372 -2.3105 0.0000
4.1372 2.3105 0.0000
-1.2576 0.0000 5.3008
Te P H F
1 1 1 1
direct
0.0000 0.0000 0.0000
0.5500 0.5500 0.2005
0.7135 0.7135 0.3564
0.4495 0.4495 0.4235
```

---

Entry 6:
This entry pairs a crystal structure of Nd2Hg3Pd4 with its computed powder XRD pattern. Radiation: a wavelength of 1.5418 Å. Structure: a GGA-PBE-relaxed structure.
No peak broadening, texture or thermal motion is included.

Top 10 peaks for 2θ from 15° to 90°, in order of rising 2θ:
2theta, I (rel.)
27.64, 20
34.42, 51
35.73, 63
37.20, 48
37.24, 48
37.57, 100
50.38, 21
50.53, 17
65.17, 19
69.34, 15

Structural model:
```
Nd2Hg3Pd4
1.0
4.8635 0.0000 0.0000
2.2733 4.3074 0.0000
1.0134 0.6369 9.0548
Nd Hg Pd
2 3 4
direct
0.1535 0.1543 0.2255
0.8465 0.8457 0.7745
0.1989 0.1987 0.5865
0.5000 0.5000 0.0000
0.8011 0.8013 0.4135
0.1683 0.1668 0.9050
0.4755 0.4756 0.3460
0.5245 0.5244 0.6540
0.8317 0.8332 0.0950
```

---

Entry 7:
This entry pairs a crystal structure of SmMg2Cu2Sn2 with its computed powder XRD pattern. Radiation: a wavelength of 1.5418 Å. Structure: a GGA-PBE-relaxed structure.
No peak broadening, texture or thermal motion is included.

Top 10 peaks for 2θ from 15° to 90°, in order of rising 2θ:
2theta, I (rel.)
21.09, 20
26.67, 51
28.73, 33
33.67, 54
36.45, 63
39.63, 100
54.93, 20
59.84, 36
69.41, 18
69.83, 19

Structural model:
```
SmMg2Cu2Sn2
1.0
2.2743 1.3131 8.4268
-2.2743 1.3131 8.4268
0.0000 -2.6262 8.4268
Sm Mg Cu Sn
1 2 2 2
direct
0.0000 0.0000 0.0000
0.1340 0.1340 0.1340
0.8660 0.8660 0.8660
0.4089 0.4089 0.4089
0.5911 0.5911 0.5911
0.2553 0.2553 0.2553
0.7447 0.7447 0.7447
```

---

Entry 8:
This entry pairs a crystal structure of La2TbYTm2 with its computed powder XRD pattern. Radiation: a wavelength of 1.5418 Å. Structure: a GGA-PBE-relaxed structure.
No peak broadening, texture or thermal motion is included.

Top 10 peaks for 2θ from 15° to 90°, in order of rising 2θ:
2theta, I (rel.)
25.12, 13
31.08, 83
31.47, 100
40.68, 22
44.82, 30
55.78, 31
56.02, 19
61.66, 29
74.44, 13
79.59, 14

Structural model:
```
La2TbYTm2
1.0
7.0914 0.0000 0.0000
0.0000 5.6866 0.0000
0.0000 0.0000 9.8477
La Tb Y Tm
4 2 2 4
direct
0.0000 0.0000 0.0000
0.2500 0.5000 0.1770
0.5000 0.0000 0.0000
0.7500 0.5000 0.8230
0.2500 0.0000 0.6596
0.7500 0.0000 0.3404
0.0000 0.5000 0.5000
0.5000 0.5000 0.5000
0.2500 0.0000 0.3351
0.2500 0.5000 0.8333
0.7500 0.0000 0.6649
0.7500 0.5000 0.1667
```